Record 1
Diffraction record for Pu3I. The PXRD pattern is simulated, not measured: it uses a structure optimized by DFT (GGA-PBE) and Cu Kα.
Neutral-atom scattering factors, no anomalous dispersion.

Crystal structure
```
Pu3I
1.0
6.6339 0.0000 0.0000
-3.3169 5.7451 0.0000
0.0000 0.0000 5.6689
Pu I
6 2
Direct
0.1680 0.3361 0.2500
0.1680 0.8320 0.2500
0.3361 0.1680 0.7500
0.6639 0.8320 0.2500
0.8320 0.1680 0.7500
0.8320 0.6639 0.7500
0.3333 0.6667 0.7500
0.6667 0.3333 0.2500
```

Top 6 peaks for 2θ = 10–90°, by angle:
2θ (°)	I/Imax
31.14	23
31.56	29
35.02	100
55.40	18
58.46	24
65.17	23

Record 2
Diffraction record for Li3BS3. The PXRD pattern is simulated, not measured: it uses a structure optimized by DFT (GGA-PBE) and Cu Kα.
Neutral-atom scattering factors, no anomalous dispersion.

Crystal structure
```
Li3BS3
1.0
8.1892 0.0000 0.0000
0.0000 10.1519 0.0000
0.0000 0.0000 6.2024
Li B S
12 4 12
Direct
0.0047 0.2500 0.0469
0.1685 0.5093 0.6062
0.1685 0.9907 0.6062
0.3315 0.0093 0.1062
0.3315 0.4907 0.1062
0.4953 0.7500 0.5469
0.5047 0.2500 0.4531
0.6685 0.5093 0.8938
0.6685 0.9907 0.8938
0.8315 0.0093 0.3938
0.8315 0.4907 0.3938
0.9953 0.7500 0.9531
0.1204 0.7500 0.3832
0.3796 0.2500 0.8832
0.6204 0.7500 0.1168
0.8796 0.2500 0.6168
0.0800 0.5943 0.2430
0.0800 0.9057 0.2430
0.2025 0.7500 0.6584
0.2975 0.2500 0.1584
0.4200 0.0943 0.7430
0.4200 0.4057 0.7430
0.5800 0.5943 0.2570
0.5800 0.9057 0.2570
0.7025 0.7500 0.8416
0.7975 0.2500 0.3416
0.9200 0.0943 0.7570
0.9200 0.4057 0.7570
```

Top 6 peaks for 2θ = 10–90°, by angle:
2θ (°)	I/Imax
19.97	39
23.43	93
26.08	33
27.54	60
28.79	39
30.08	100

Record 3
Diffraction record for LiSiBiO4. The PXRD pattern is simulated, not measured: it uses a structure optimized by DFT (GGA-PBE) and Cu Kα.
Neutral-atom scattering factors, no anomalous dispersion.

Crystal structure
```
LiSiBiO4
1.0
10.7913 0.0000 0.0000
0.0000 6.8252 0.0000
0.0000 0.0000 4.9248
Li Si Bi O
4 4 4 16
Direct
0.0000 0.0000 0.0000
0.0000 0.5000 0.0000
0.5000 0.0000 0.5000
0.5000 0.5000 0.5000
0.0804 0.2500 0.3958
0.4196 0.7500 0.8958
0.5804 0.2500 0.1042
0.9196 0.7500 0.6042
0.2217 0.7500 0.4499
0.2783 0.2500 0.9499
0.7217 0.7500 0.0501
0.7783 0.2500 0.5501
0.0581 0.7500 0.7460
0.0765 0.2500 0.7248
0.1583 0.0628 0.2558
0.1583 0.4372 0.2558
0.3417 0.5628 0.7558
0.3417 0.9372 0.7558
0.4235 0.7500 0.2248
0.4419 0.2500 0.2460
0.5581 0.7500 0.7540
0.5765 0.2500 0.7752
0.6583 0.0628 0.2442
0.6583 0.4372 0.2442
0.8417 0.5628 0.7442
0.8417 0.9372 0.7442
0.9235 0.7500 0.2752
0.9419 0.2500 0.2540
```

Top 6 peaks for 2θ = 10–90°, by angle:
2θ (°)	I/Imax
16.43	47
23.76	100
26.11	36
31.01	18
33.53	50
44.66	22

Record 4
Diffraction record for CdSb6S8I4. The PXRD pattern is simulated, not measured: it uses a structure optimized by DFT (GGA-PBE) and Cu Kα.
Neutral-atom scattering factors, no anomalous dispersion.

Crystal structure
```
CdSb6S8I4
1.0
7.5655 0.0000 0.0000
-0.8714 9.0553 0.0000
-2.9397 -0.4813 8.6477
Cd Sb S I
1 6 8 4
Direct
0.0000 0.0000 0.0000
0.2079 0.2963 0.7797
0.2377 0.9286 0.4351
0.2428 0.6441 0.1477
0.7572 0.3559 0.8523
0.7623 0.0714 0.5649
0.7921 0.7037 0.2203
0.0845 0.3118 0.0127
0.0876 0.0175 0.7250
0.1020 0.6442 0.3917
0.3306 0.9238 0.1901
0.6694 0.0762 0.8099
0.8980 0.3558 0.6083
0.9124 0.9825 0.2750
0.9155 0.6882 0.9873
0.3518 0.6685 0.8600
0.3543 0.2722 0.4590
0.6457 0.7278 0.5410
0.6482 0.3315 0.1400
```

Top 6 peaks for 2θ = 10–90°, by angle:
2θ (°)	I/Imax
13.77	77
28.00	42
28.53	64
29.41	61
29.64	70
30.63	100

Record 5
Diffraction record for Gd3SbO7. The PXRD pattern is simulated, not measured: it uses a structure optimized by DFT (GGA-PBE) and Cu Kα.
Neutral-atom scattering factors, no anomalous dispersion.

Crystal structure
```
Gd3SbO7
1.0
6.5130 0.0000 0.0000
0.9107 6.4887 0.0000
0.0205 2.2403 7.3305
Gd Sb O
6 2 14
Direct
0.0396 0.0041 0.2483
0.2370 0.5335 0.6179
0.2396 0.5235 0.1159
0.7604 0.4765 0.8841
0.7630 0.4665 0.3821
0.9604 0.9959 0.7517
0.5000 0.0000 0.0000
0.5000 0.0000 0.5000
0.0485 0.6378 0.8447
0.0602 0.6450 0.3342
0.2113 0.9327 0.5463
0.2123 0.9392 0.9840
0.4036 0.0683 0.2325
0.4240 0.3185 0.4554
0.4308 0.3286 0.8887
0.5692 0.6714 0.1113
0.5760 0.6815 0.5446
0.5964 0.9317 0.7675
0.7877 0.0608 0.0160
0.7887 0.0673 0.4537
0.9398 0.3550 0.6658
0.9515 0.3622 0.1553
```

Top 6 peaks for 2θ = 10–90°, by angle:
2θ (°)	I/Imax
28.49	100
28.60	98
28.77	98
29.33	93
33.50	90
47.41	63

Record 6
Diffraction record for RbVSe2. The PXRD pattern is simulated, not measured: it uses a structure optimized by DFT (GGA-PBE) and Cu Kα.
Neutral-atom scattering factors, no anomalous dispersion.

Crystal structure
```
RbVSe2
1.0
0.0000 6.9888 12.6286
2.8899 0.0000 12.6286
2.8899 6.9888 0.0000
Rb V Se
4 4 8
Direct
0.0518 0.0518 0.6982
0.3018 0.3018 0.9482
0.6982 0.6982 0.0518
0.9482 0.9482 0.3018
0.1250 0.1250 0.1250
0.3750 0.3750 0.3750
0.6250 0.6250 0.6250
0.8750 0.8750 0.8750
0.0245 0.3306 0.4183
0.2734 0.5817 0.6694
0.3306 0.0245 0.7266
0.4183 0.7266 0.0245
0.5817 0.2734 0.9755
0.6694 0.9755 0.2734
0.7266 0.4183 0.3306
0.9755 0.6694 0.5817
```

Top 6 peaks for 2θ = 10–90°, by angle:
2θ (°)	I/Imax
24.69	32
26.76	100
28.27	25
30.34	75
37.76	32
50.31	28

Record 7
Diffraction record for UGe2Ir2. The PXRD pattern is simulated, not measured: it uses a structure optimized by DFT (GGA-PBE) and Cu Kα.
Neutral-atom scattering factors, no anomalous dispersion.

Crystal structure
```
UGe2Ir2
1.0
4.1241 0.0000 0.0000
0.0000 4.1241 0.0000
0.0000 0.0000 10.4814
U Ge Ir
2 4 4
Direct
0.0000 0.0000 0.0000
0.5000 0.5000 0.5000
0.0000 0.0000 0.3818
0.0000 0.0000 0.6182
0.5000 0.5000 0.1182
0.5000 0.5000 0.8818
0.0000 0.5000 0.2500
0.0000 0.5000 0.7500
0.5000 0.0000 0.2500
0.5000 0.0000 0.7500
```

Top 6 peaks for 2θ = 10–90°, by angle:
2θ (°)	I/Imax
33.62	30
34.22	15
35.22	100
43.91	41
61.92	17
75.06	23